Entry 1:
Structure and simulated PXRD pattern of MgRhN2 (a crystal structure in the Materials Project, relaxed with PBE; a wavelength of 1.5418 Å).
Lines closer than 0.1° are merged.

Top 8 peaks for 10 to 90 degrees two-theta, sorted by position:
two_theta	intensity
20.25	48
21.41	82
31.13	49
33.55	56
34.83	55
35.47	100
54.48	34
61.23	32

Atomic structure:
```
data_MgRhN2
_space_group_name_H-M_alt 'P n a 21'
_space_group_IT_number 33
_cell_length_a 5.880
_cell_length_b 6.587
_cell_length_c 5.343
_cell_angle_alpha 90.00
_cell_angle_beta 90.00
_cell_angle_gamma 90.00
loop_
_space_group_symop_operation_xyz
'x,y,z'
'-x,-y,z+1/2'
'-x+1/2,y+1/2,z+1/2'
'x+1/2,-y+1/2,z'
loop_
_atom_site_label
_atom_site_type_symbol
_atom_site_fract_x
_atom_site_fract_y
_atom_site_fract_z
Mg1 Mg 0.093 0.127 0.000
Rh1 Rh 0.083 0.639 0.011
N1 N 0.073 0.610 0.373
N2 N 0.101 0.131 0.398
```

---

Entry 2:
Structure and simulated PXRD pattern of Mg4RuN4 (a crystal structure in the Materials Project, relaxed with PBE; a wavelength of 1.5418 Å).
Lines closer than 0.1° are merged.

Top 8 peaks for 10 to 90 degrees two-theta, sorted by position:
two_theta	intensity
18.00	35
20.35	36
21.28	60
35.01	43
35.15	43
36.53	38
40.74	49
40.88	100

Atomic structure:
```
data_Mg4RuN4
_space_group_name_H-M_alt 'P -1'
_space_group_IT_number 2
_cell_length_a 5.419
_cell_length_b 5.439
_cell_length_c 8.114
_cell_angle_alpha 73.85
_cell_angle_beta 87.14
_cell_angle_gamma 70.59
loop_
_space_group_symop_operation_xyz
'x,y,z'
'-x,-y,-z'
loop_
_atom_site_label
_atom_site_type_symbol
_atom_site_fract_x
_atom_site_fract_y
_atom_site_fract_z
Mg1 Mg 0.234 0.264 0.000
Mg2 Mg 0.234 0.839 0.790
Mg3 Mg 0.237 0.053 0.415
Mg4 Mg 0.246 0.473 0.591
Ru1 Ru 0.245 0.629 0.224
N1 N 0.005 0.400 0.205
N2 N 0.010 0.202 0.621
N3 N 0.349 0.831 0.031
N4 N 0.490 0.295 0.386
```

---

Entry 3:
Structure and simulated PXRD pattern of Mg5Si2N6 (a crystal structure in the Materials Project, relaxed with PBE; a wavelength of 1.5418 Å).
Lines closer than 0.1° are merged.

Top 8 peaks for 10 to 90 degrees two-theta, sorted by position:
two_theta	intensity
19.67	31
23.04	55
24.57	71
31.53	32
34.55	100
43.85	75
47.09	28
71.57	27

Atomic structure:
```
data_Mg5Si2N6
_space_group_name_H-M_alt 'P -4 b 2'
_space_group_IT_number 117
_cell_length_a 10.528
_cell_length_b 10.528
_cell_length_c 5.675
_cell_angle_alpha 90.00
_cell_angle_beta 90.00
_cell_angle_gamma 90.00
loop_
_space_group_symop_operation_xyz
'x,y,z'
'y,-x,-z'
'-x,-y,z'
'-y,x,-z'
'-x+1/2,y+1/2,z'
'-y+1/2,-x+1/2,-z'
'x+1/2,-y+1/2,z'
'y+1/2,x+1/2,-z'
loop_
_atom_site_label
_atom_site_type_symbol
_atom_site_fract_x
_atom_site_fract_y
_atom_site_fract_z
Mg1 Mg 0.000 0.500 0.000
Mg2 Mg 0.000 0.500 0.500
Mg3 Mg 0.097 0.105 0.178
Mg4 Mg 0.103 0.274 0.651
Si1 Si 0.104 0.728 0.251
N1 N 0.045 0.333 0.309
N2 N 0.104 0.894 0.196
N3 N 0.146 0.646 0.000
N4 N 0.208 0.708 0.500
```

---

Entry 4:
Structure and simulated PXRD pattern of Mg4SiN4 (a crystal structure in the Materials Project, relaxed with PBE; a wavelength of 1.5418 Å).
Lines closer than 0.1° are merged.

Top 8 peaks for 10 to 90 degrees two-theta, sorted by position:
two_theta	intensity
17.26	62
20.03	47
28.15	49
36.49	100
38.06	49
40.20	42
40.60	56
56.72	46

Atomic structure:
```
data_Mg4SiN4
_space_group_name_H-M_alt 'P n n a'
_space_group_IT_number 52
_cell_length_a 5.223
_cell_length_b 10.275
_cell_length_c 8.375
_cell_angle_alpha 90.00
_cell_angle_beta 90.00
_cell_angle_gamma 90.00
loop_
_space_group_symop_operation_xyz
'x,y,z'
'-x,-y,-z'
'-x+1/2,-y,z'
'x+1/2,y,-z'
'x,-y+1/2,-z+1/2'
'-x,y+1/2,z+1/2'
'-x+1/2,y+1/2,-z+1/2'
'x+1/2,-y+1/2,z+1/2'
loop_
_atom_site_label
_atom_site_type_symbol
_atom_site_fract_x
_atom_site_fract_y
_atom_site_fract_z
Mg1 Mg 0.149 0.129 0.108
Mg2 Mg 0.192 0.250 0.750
Mg3 Mg 0.250 0.000 0.446
Si1 Si 0.250 0.000 0.766
N1 N 0.036 0.100 0.873
N2 N 0.054 0.607 0.848
```